(1)
The following is a simulated powder diffraction line list of Re4As5S4. It was derived from a GGA-PBE-relaxed structure, using λ = 1.5418 Å (Cu Kα).
Peak positions follow from Bragg's law for the DFT cell and can differ from measured ones.

Top 10 peaks for 2θ = 10–90°, sorted by position:
2θ 15.30, I 100; 2θ 17.69, I 20; 2θ 29.54, I 44; 2θ 35.82, I 55; 2θ 39.16, I 37; 2θ 44.25, I 46; 2θ 47.09, I 61; 2θ 51.56, I 38; 2θ 66.60, I 21; 2θ 81.43, I 29

Cell and atoms:
```
Re4As5S4
1.0
0.0000 5.0140 5.0140
5.0140 0.0000 5.0140
5.0140 5.0140 0.0000
Re As S
4 5 4
Cartesian
4.0230 4.0230 4.0230
6.0050 6.0050 4.0230
6.0050 4.0230 6.0050
4.0230 6.0050 6.0050
0.0000 0.0000 0.0000
1.4504 1.4504 1.4504
3.5636 3.5636 1.4504
3.5636 1.4504 3.5636
1.4504 3.5636 3.5636
6.3255 3.7025 3.7025
3.7025 6.3255 3.7025
3.7025 3.7025 6.3255
6.3255 6.3255 6.3255
```

(2)
The following is a simulated powder diffraction line list of Re4As6S3. It was derived from a GGA-PBE-relaxed structure, using λ = 1.5418 Å (Cu Kα).
Peak positions follow from Bragg's law for the DFT cell and can differ from measured ones.

Top 10 peaks for 2θ = 10–90°, sorted by position:
2θ 15.33, I 100; 2θ 17.72, I 19; 2θ 29.59, I 48; 2θ 35.88, I 64; 2θ 39.22, I 37; 2θ 44.32, I 52; 2θ 47.17, I 62; 2θ 51.64, I 44; 2θ 66.72, I 20; 2θ 81.58, I 28

Cell and atoms:
```
Re4As6S3
1.0
3.5380 2.0427 5.7870
-3.5380 2.0427 5.7870
0.0000 -4.0853 5.7870
Re As S
4 6 3
Cartesian
0.0000 0.0000 0.0000
0.0000 -2.4589 3.5129
-2.1295 1.2295 3.5129
2.1295 1.2295 3.5129
0.0000 -2.3505 7.7993
-2.0356 1.1753 7.7993
0.0000 0.0000 4.4757
0.0000 0.0000 6.9575
0.0000 0.0000 13.1967
2.0356 1.1753 7.7993
-1.6842 -0.9724 10.6055
1.6842 -0.9724 10.6055
0.0000 1.9447 10.6055
```

(3)
The following is a simulated powder diffraction line list of Re4AsSe8. It was derived from a GGA-PBE-relaxed structure, using λ = 1.5418 Å (Cu Kα).
Peak positions follow from Bragg's law for the DFT cell and can differ from measured ones.

Top 10 peaks for 2θ = 10–90°, sorted by position:
2θ 11.90, I 100; 2θ 31.24, I 9; 2θ 32.57, I 17; 2θ 34.81, I 17; 2θ 36.69, I 16; 2θ 38.46, I 11; 2θ 40.81, I 8; 2θ 44.46, I 11; 2θ 49.35, I 7; 2θ 55.21, I 6

Cell and atoms:
```
Re4AsSe8
1.0
6.6975 0.0000 0.0000
3.3000 5.9727 0.0000
2.5269 0.7845 7.4356
Re As Se
4 1 8
Cartesian
0.0000 0.0000 0.0000
4.6031 4.2780 7.3749
7.4939 4.4423 7.3399
7.0914 5.8185 0.0522
7.8990 1.0381 3.6379
5.9752 5.2033 5.4788
4.4774 1.9483 6.1604
5.1690 5.3641 1.6648
3.6259 2.1329 1.4022
7.6801 2.1309 6.0137
9.4410 4.8933 5.7408
6.8380 2.3115 1.2236
8.6184 5.0616 1.8728
```